1.
Diffraction record for Rb4Th3ScTe8. The powder diffractogram is calculated, not measured: it uses DFT lattice parameters and positions (PBE) and Cu Kα.
No peak broadening, texture or thermal motion is included.

Main lines, in order of falling intensity (2θ from 10° to 90°):
d/Å, I_rel
3.333, 100.0
2.502, 37.5
2.235, 35.2
8.745, 30.6
1.856, 18.6
1.428, 15.5
2.692, 13.4
1.563, 12.7
1.667, 11.0
1.336, 10.3

Crystal structure
```
Rb4Th3ScTe8
1.0
4.4690 2.5802 8.7449
-4.4690 2.5802 8.7449
0.0000 -5.1604 8.7449
Rb Th Sc Te
4 3 1 8
Cartesian
0.0000 0.0000 0.0000
-2.2345 -1.2901 8.7449
-2.2345 1.2901 17.4897
0.0000 2.5802 8.7448
-4.4690 0.0000 13.1173
-2.2345 1.2901 4.3724
2.2345 1.2901 4.3724
0.0000 0.0000 13.1173
0.0000 0.0000 6.2432
-2.1369 -1.2338 14.8901
0.0000 -2.4675 11.3444
-2.1369 1.2337 11.3444
2.1369 -1.2338 14.8901
0.0000 2.4675 14.8901
2.1369 1.2338 11.3444
0.0000 0.0000 19.9914
```

***

2.
Diffraction record for Ta3Tl2S8. The powder diffractogram is calculated, not measured: it uses DFT lattice parameters and positions (PBE) and Cu Kα.
No peak broadening, texture or thermal motion is included.

Main lines, in order of falling intensity (2θ from 10° to 90°):
d/Å, I_rel
3.781, 100.0
4.133, 64.6
2.542, 52.4
3.197, 36.6
1.780, 27.8
2.549, 27.7
2.223, 27.3
5.441, 26.3
7.554, 25.9
3.036, 24.7

Crystal structure
```
Ta3Tl2S8
1.0
7.8401 -3.5281 0.0000
7.8401 3.5281 0.0000
-1.6555 0.0000 5.9609
Ta Tl S
3 2 8
Cartesian
0.0000 0.0000 0.0000
7.0124 1.6505 2.9804
7.0124 -1.6505 2.9804
2.6258 0.0000 4.9671
11.3989 0.0000 0.9937
0.8238 0.0000 2.3255
6.2177 1.8257 0.6673
7.8070 1.8257 5.2936
5.3163 0.0000 3.3506
8.7084 0.0000 2.6103
6.2177 -1.8257 0.6673
7.8070 -1.8257 5.2936
13.2010 0.0000 3.6354
```

***

- What is the formula in the first record?
  Rb4Th3ScTe8